The following is a simulated powder X-ray diffraction pattern of Tb2Dy3Ag3. It was derived from a GGA-PBE-relaxed structure, using Cu Kα (λ = 1.5418 Å).
Peak positions follow from Bragg's law for the DFT cell and can differ from measured ones.

Principal peaks in the range 2θ = 10–90°, low angle first:
| 2θ/deg | intensity |
| --- | --- |
| 26.77 | 48 |
| 33.30 | 168 |
| 34.10 | 1000 |
| 48.42 | 116 |
| 49.54 | 73 |
| 60.02 | 83 |
| 61.05 | 201 |
| 61.52 | 76 |
| 71.80 | 95 |
| 82.76 | 61 |

```
Tb2Dy3Ag3
1.0
-1.840 2.628 10.761
1.840 -2.628 10.761
1.840 2.628 -10.761
Tb Dy Ag
2 3 3
Direct
0.232 0.232 0.000
0.768 0.768 0.000
0.000 0.000 0.000
0.380 0.880 0.500
0.620 0.120 0.500
0.116 0.616 0.500
0.500 0.500 0.000
0.884 0.384 0.500
```